Record 1
Starting from a structure optimized by DFT (PBE), the powder diffraction line list of Ba2Ni3Ge2 was calculated for a wavelength of 1.5418 Å.
Kinematic intensities with the Lorentz-polarization factor, no thermal factor.

The 10 most intense peaks (10 to 90 degrees two-theta), most intense first:
2theta  I (rel.)
43.33  100.0
33.49  96.6
27.08  74.0
56.06  72.4
33.81  53.2
25.24  50.0
37.66  33.6
63.94  22.8
55.85  21.9
73.21  20.2

Cell lengths 10.8748, 10.8748, 10.8748 Å; angles 22.14, 22.14, 22.14 degrees
Element x y z (fractional)
Ba 0.0000 0.0000 0.0000
Ba 0.4927 0.4927 0.4927
Ni 0.4004 0.4004 0.4004
Ni 0.5885 0.5885 0.5885
Ni 0.9020 0.9020 0.9020
Ge 0.2449 0.2449 0.2449
Ge 0.7448 0.7448 0.7448



Record 2
Starting from a structure optimized by DFT (PBE), the powder diffraction line list of Np2Br3Cl3 was calculated for a wavelength of 1.5418 Å.
Kinematic intensities with the Lorentz-polarization factor, no thermal factor.

The 10 most intense peaks (10 to 90 degrees two-theta), most intense first:
2theta  I (rel.)
34.09  100.0
13.40  89.7
41.71  73.5
24.52  67.5
23.31  45.4
65.14  39.6
40.97  35.9
31.20  25.3
59.79  23.8
79.87  23.2

Cell lengths 7.6315, 7.6315, 4.3442 Å; angles 90.00, 90.00, 120.00 degrees
Element x y z (fractional)
Np 0.0000 0.0000 0.0000
Np 0.3333 0.6667 0.5000
Br 0.3008 0.0522 0.5000
Br 0.7514 0.6992 0.5000
Br 0.9478 0.2486 0.5000
Cl 0.0761 0.6564 0.0000
Cl 0.3436 0.4197 0.0000
Cl 0.5803 0.9239 0.0000



Record 3
Starting from a structure optimized by DFT (PBE), the powder diffraction line list of DyH7C8SO9 was calculated for a wavelength of 1.5418 Å.
Kinematic intensities with the Lorentz-polarization factor, no thermal factor.

The 10 most intense peaks (10 to 90 degrees two-theta), most intense first:
2theta  I (rel.)
21.98  100.0
15.18  87.8
18.81  87.3
15.65  68.7
30.62  55.1
15.99  36.8
36.42  33.7
13.38  28.2
20.74  27.8
43.53  27.3

Cell lengths 6.2470, 8.5293, 10.5094 Å; angles 91.12, 99.88, 107.99 degrees
Element x y z (fractional)
Dy 0.1525 0.2443 0.1136
Dy 0.8475 0.7557 0.8864
H 0.1848 0.1532 0.5548
H 0.3136 0.9564 0.1110
H 0.3424 0.6420 0.7872
H 0.3535 0.6418 0.5831
H 0.3892 0.5890 0.3557
H 0.4168 0.4930 0.8502
H 0.4579 0.9015 0.8206
H 0.5421 0.0985 0.1794
H 0.5832 0.5070 0.1498
H 0.6108 0.4110 0.6443
H 0.6465 0.3582 0.4169
H 0.6576 0.3580 0.2128
H 0.6864 0.0436 0.8890
H 0.8152 0.8468 0.4452
C 0.0191 0.7582 0.6575
C 0.0217 0.2243 0.7004
C 0.0524 0.2031 0.5743
C 0.0802 0.7477 0.5281
C 0.1344 0.6967 0.2728
C 0.1569 0.6532 0.1379
C 0.2465 0.6785 0.5039
C 0.2680 0.6498 0.3768
C 0.7320 0.3502 0.6232
C 0.7535 0.3215 0.4961
C 0.8431 0.3468 0.8621
C 0.8656 0.3033 0.7272
C 0.9198 0.2523 0.4719
C 0.9476 0.7969 0.4257
C 0.9783 0.7757 0.2996
C 0.9809 0.2418 0.3425
S 0.2153 0.1678 0.8212
S 0.7847 0.8322 0.1788
O 0.0877 0.0294 0.8895
O 0.1488 0.7410 0.7619
O 0.1528 0.7573 0.0524
O 0.1712 0.2191 0.3364
O 0.1784 0.5141 0.1162
O 0.3149 0.3128 0.9187
O 0.3787 0.1283 0.7552
O 0.3829 0.0769 0.1360
O 0.4685 0.5917 0.8012
O 0.5315 0.4083 0.1988
O 0.6171 0.9231 0.8640
O 0.6213 0.8717 0.2448
O 0.6851 0.6872 0.0813
O 0.8216 0.4859 0.8838
O 0.8288 0.7809 0.6636
O 0.8472 0.2427 0.9476
O 0.8512 0.2590 0.2381
O 0.9123 0.9706 0.1105



Record 4
Starting from a structure optimized by DFT (PBE), the powder diffraction line list of Nd2ErCd4In2 was calculated for a wavelength of 1.5418 Å.
Kinematic intensities with the Lorentz-polarization factor, no thermal factor.

The 10 most intense peaks (10 to 90 degrees two-theta), most intense first:
2theta  I (rel.)
33.25  100.0
30.43  82.8
33.54  53.6
38.52  50.5
30.19  35.9
35.89  25.5
53.66  24.2
53.96  23.1
36.23  20.6
36.44  18.7

Cell lengths 4.6739, 7.5523, 7.5523 Å; angles 119.15, 90.00, 90.00 degrees
Element x y z (fractional)
Nd 0.0000 0.2113 0.7887
Nd 0.0000 0.7887 0.2113
Er 0.0000 0.3626 0.3626
Cd 0.0000 0.7767 0.7767
Cd 0.5000 0.0256 0.0256
Cd 0.5000 0.5432 0.7867
Cd 0.5000 0.7867 0.5432
In 0.5000 0.1248 0.4511
In 0.5000 0.4511 0.1248